Y2Er2TmLu2Ni2Te2: simulated powder diffraction line list (Cu Kα X-rays), based on a crystal structure in OQMD, relaxed with PBE.
Peak positions follow from Bragg's law for the DFT cell and can differ from measured ones.

Main lines, most intense first (10 to 80 degrees two-theta):
| 2theta | I (rel.) |
| --- | --- |
| 34.35 | 1000 |
| 33.20 | 610 |
| 30.58 | 496 |
| 34.83 | 496 |
| 59.30 | 295 |
| 51.58 | 245 |
| 47.62 | 236 |
| 45.33 | 149 |
| 28.76 | 144 |
| 36.86 | 132 |

Cell and atoms:
a = 9.266 Å, b = 9.266 Å, c = 9.266 Å
α = 156.21°, β = 67.11°, γ = 118.29°
Positions (direct):
Y (0.184, 0.000, 0.184)
Y (0.816, 0.000, 0.816)
Er (0.502, 0.649, 0.853)
Er (0.795, 0.649, 0.147)
Tm (0.878, 0.378, 0.500)
Lu (0.164, 0.797, 0.367)
Lu (0.430, 0.797, 0.633)
Ni (0.045, 0.305, 0.739)
Ni (0.566, 0.305, 0.261)
Te (0.145, 0.145, 0.000)
Te (0.541, 0.041, 0.500)

***

Ga2Cu7: simulated powder diffraction line list (Cu Kα X-rays), based on a crystal structure in OQMD, relaxed with PBE.
Peak positions follow from Bragg's law for the DFT cell and can differ from measured ones.

Main lines, most intense first (10 to 80 degrees two-theta):
| 2theta | I (rel.) |
| --- | --- |
| 44.00 | 1000 |
| 51.27 | 457 |
| 75.38 | 145 |
| 10.76 | 140 |
| 75.50 | 126 |
| 42.84 | 125 |
| 49.08 | 124 |
| 40.23 | 103 |
| 42.01 | 74 |
| 71.88 | 70 |

Cell and atoms:
a = 2.522 Å, b = 2.522 Å, c = 24.659 Å
α = 90.00°, β = 90.00°, γ = 120.00°
Positions (direct):
Ga (0.333, 0.667, 0.154)
Ga (0.667, 0.333, 0.846)
Cu (0.000, 0.000, 0.247)
Cu (0.000, 0.000, 0.500)
Cu (0.000, 0.000, 0.753)
Cu (0.333, 0.667, 0.417)
Cu (0.333, 0.667, 0.667)
Cu (0.667, 0.333, 0.333)
Cu (0.667, 0.333, 0.583)

***

Sm4AlNi2Ge4: simulated powder diffraction line list (Cu Kα X-rays), based on a crystal structure in OQMD, relaxed with PBE.
Peak positions follow from Bragg's law for the DFT cell and can differ from measured ones.

Main lines, most intense first (10 to 80 degrees two-theta):
| 2theta | I (rel.) |
| --- | --- |
| 34.21 | 1000 |
| 35.89 | 781 |
| 33.05 | 748 |
| 41.85 | 577 |
| 35.76 | 567 |
| 36.87 | 341 |
| 40.30 | 257 |
| 34.63 | 239 |
| 37.90 | 212 |
| 21.45 | 198 |

Cell and atoms:
a = 8.076 Å, b = 8.076 Å, c = 7.074 Å
α = 107.68°, β = 107.68°, γ = 31.00°
Positions (direct):
Sm (0.090, 0.090, 0.387)
Sm (0.154, 0.154, 0.942)
Sm (0.846, 0.846, 0.058)
Sm (0.910, 0.910, 0.613)
Al (0.500, 0.500, 0.000)
Ni (0.285, 0.285, 0.354)
Ni (0.715, 0.715, 0.646)
Ge (0.295, 0.295, 0.722)
Ge (0.437, 0.437, 0.333)
Ge (0.563, 0.563, 0.667)
Ge (0.705, 0.705, 0.278)

***

CsMg2Cd2As3: simulated powder diffraction line list (Cu Kα X-rays), based on a crystal structure in OQMD, relaxed with PBE.
Peak positions follow from Bragg's law for the DFT cell and can differ from measured ones.

Main lines, most intense first (10 to 80 degrees two-theta):
| 2theta | I (rel.) |
| --- | --- |
| 25.63 | 1000 |
| 39.99 | 443 |
| 48.11 | 352 |
| 43.66 | 349 |
| 29.18 | 306 |
| 37.50 | 299 |
| 21.32 | 247 |
| 57.84 | 146 |
| 32.52 | 142 |
| 75.18 | 136 |

Cell and atoms:
a = 4.509 Å, b = 4.509 Å, c = 10.918 Å
α = 90.00°, β = 90.00°, γ = 90.00°
Positions (direct):
Cs (0.000, 0.000, 0.000)
Mg (0.000, 0.500, 0.660)
Mg (0.500, 0.000, 0.340)
Cd (0.000, 0.500, 0.340)
Cd (0.500, 0.000, 0.660)
As (0.000, 0.000, 0.500)
As (0.500, 0.500, 0.206)
As (0.500, 0.500, 0.794)

***

La3SbIr: simulated powder diffraction line list (Cu Kα X-rays), based on a crystal structure in OQMD, relaxed with PBE.
Peak positions follow from Bragg's law for the DFT cell and can differ from measured ones.

Main lines, most intense first (10 to 80 degrees two-theta):
| 2theta | I (rel.) |
| --- | --- |
| 28.76 | 1000 |
| 33.23 | 794 |
| 29.93 | 657 |
| 32.92 | 500 |
| 40.85 | 475 |
| 21.23 | 466 |
| 28.13 | 410 |
| 44.77 | 401 |
| 32.66 | 342 |
| 44.27 | 338 |

Cell and atoms:
a = 6.906 Å, b = 6.906 Å, c = 10.883 Å
α = 90.00°, β = 90.00°, γ = 142.69°
Positions (direct):
La (0.063, 0.937, 0.750)
La (0.358, 0.642, 0.546)
La (0.358, 0.642, 0.954)
La (0.642, 0.358, 0.046)
La (0.642, 0.358, 0.454)
La (0.937, 0.063, 0.250)
Sb (0.244, 0.756, 0.250)
Sb (0.756, 0.244, 0.750)
Ir (0.000, 0.000, 0.000)
Ir (0.000, 0.000, 0.500)

***

Rb2Pr4Cu4Se9: simulated powder diffraction line list (Cu Kα X-rays), based on a crystal structure in OQMD, relaxed with PBE.
Peak positions follow from Bragg's law for the DFT cell and can differ from measured ones.

Main lines, most intense first (10 to 80 degrees two-theta):
| 2theta | I (rel.) |
| --- | --- |
| 28.26 | 1000 |
| 42.74 | 986 |
| 30.25 | 874 |
| 27.84 | 811 |
| 12.69 | 784 |
| 37.19 | 699 |
| 28.53 | 671 |
| 29.74 | 618 |
| 40.97 | 496 |
| 43.36 | 457 |

Cell and atoms:
a = 7.666 Å, b = 7.666 Å, c = 17.074 Å
α = 108.09°, β = 108.09°, γ = 32.04°
Positions (direct):
Rb (0.029, 0.029, 0.270)
Rb (0.971, 0.971, 0.730)
Pr (0.231, 0.231, 0.103)
Pr (0.344, 0.344, 0.445)
Pr (0.656, 0.656, 0.555)
Pr (0.769, 0.769, 0.897)
Cu (0.242, 0.242, 0.728)
Cu (0.425, 0.425, 0.028)
Cu (0.575, 0.575, 0.972)
Cu (0.758, 0.758, 0.272)
Se (0.000, 0.000, 0.500)
Se (0.132, 0.132, 0.923)
Se (0.303, 0.303, 0.607)
Se (0.348, 0.348, 0.276)
Se (0.397, 0.397, 0.873)
Se (0.603, 0.603, 0.127)
Se (0.652, 0.652, 0.724)
Se (0.697, 0.697, 0.393)
Se (0.868, 0.868, 0.077)

***

La3PrAu4: simulated powder diffraction line list (Cu Kα X-rays), based on a crystal structure in OQMD, relaxed with PBE.
Peak positions follow from Bragg's law for the DFT cell and can differ from measured ones.

Main lines, most intense first (10 to 80 degrees two-theta):
| 2theta | I (rel.) |
| --- | --- |
| 33.64 | 1000 |
| 37.34 | 948 |
| 30.00 | 668 |
| 37.02 | 489 |
| 32.28 | 370 |
| 18.97 | 268 |
| 49.91 | 219 |
| 64.57 | 187 |
| 64.48 | 176 |
| 54.77 | 152 |

Cell and atoms:
a = 5.965 Å, b = 4.857 Å, c = 7.540 Å
α = 90.00°, β = 90.24°, γ = 90.00°
Positions (direct):
La (0.000, 0.000, 0.000)
La (0.216, 0.000, 0.497)
La (0.714, 0.500, 0.630)
Pr (0.499, 0.500, 0.131)
Au (0.008, 0.500, 0.272)
Au (0.209, 0.500, 0.774)
Au (0.506, 0.000, 0.859)
Au (0.707, 0.000, 0.354)

***

AgIr3N5: simulated powder diffraction line list (Cu Kα X-rays), based on a crystal structure in OQMD, relaxed with PBE.
Peak positions follow from Bragg's law for the DFT cell and can differ from measured ones.

Main lines, most intense first (10 to 80 degrees two-theta):
| 2theta | I (rel.) |
| --- | --- |
| 37.56 | 1000 |
| 44.14 | 666 |
| 29.17 | 656 |
| 60.49 | 553 |
| 22.34 | 537 |
| 39.69 | 382 |
| 55.79 | 222 |
| 67.78 | 213 |
| 45.58 | 194 |
| 72.36 | 138 |

Cell and atoms:
a = 5.530 Å, b = 5.530 Å, c = 3.980 Å
α = 90.00°, β = 90.00°, γ = 120.00°
Positions (direct):
Ag (0.000, 0.000, 0.000)
Ir (0.000, 0.500, 0.500)
Ir (0.500, 0.000, 0.500)
Ir (0.500, 0.500, 0.500)
N (0.000, 0.000, 0.500)
N (0.333, 0.667, 0.166)
N (0.333, 0.667, 0.834)
N (0.667, 0.333, 0.166)
N (0.667, 0.333, 0.834)

***

UF5: simulated powder diffraction line list (Cu Kα X-rays), based on a crystal structure in OQMD, relaxed with PBE.
Peak positions follow from Bragg's law for the DFT cell and can differ from measured ones.

Main lines, most intense first (10 to 80 degrees two-theta):
| 2theta | I (rel.) |
| --- | --- |
| 25.46 | 1000 |
| 24.84 | 796 |
| 19.97 | 442 |
| 47.09 | 318 |
| 50.96 | 288 |
| 44.12 | 259 |
| 22.18 | 230 |
| 37.64 | 221 |
| 40.59 | 208 |
| 34.02 | 187 |

Cell and atoms:
a = 8.371 Å, b = 8.371 Å, c = 8.371 Å
α = 94.78°, β = 94.78°, γ = 146.45°
Positions (direct):
U (0.375, 0.210, 0.335)
U (0.790, 0.125, 0.165)
U (0.875, 0.040, 0.665)
U (0.960, 0.625, 0.835)
F (0.070, 0.139, 0.218)
F (0.116, 0.817, 0.379)
F (0.148, 0.930, 0.069)
F (0.155, 0.125, 0.530)
F (0.183, 0.562, 0.299)
F (0.264, 0.884, 0.701)
F (0.312, 0.433, 0.799)
F (0.375, 0.845, 0.970)
F (0.438, 0.736, 0.621)
F (0.486, 0.688, 0.121)
F (0.567, 0.366, 0.879)
F (0.595, 0.625, 0.470)
F (0.602, 0.170, 0.282)
F (0.634, 0.514, 0.201)
F (0.680, 0.398, 0.569)
F (0.830, 0.111, 0.431)
F (0.861, 0.080, 0.931)
F (0.875, 0.405, 0.030)
F (0.889, 0.320, 0.718)
F (0.920, 0.852, 0.782)

***

Pr2Mo2C3: simulated powder diffraction line list (Cu Kα X-rays), based on a crystal structure in OQMD, relaxed with PBE.
Peak positions follow from Bragg's law for the DFT cell and can differ from measured ones.

Main lines, most intense first (10 to 80 degrees two-theta):
| 2theta | I (rel.) |
| --- | --- |
| 32.14 | 1000 |
| 32.04 | 673 |
| 37.82 | 515 |
| 35.99 | 412 |
| 53.20 | 327 |
| 34.78 | 261 |
| 29.65 | 174 |
| 62.28 | 173 |
| 64.80 | 151 |
| 54.67 | 140 |

Cell and atoms:
a = 6.024 Å, b = 6.714 Å, c = 12.043 Å
α = 90.00°, β = 111.92°, γ = 90.00°
Positions (direct):
Pr (0.188, 0.216, 0.092)
Pr (0.188, 0.284, 0.592)
Pr (0.229, 0.001, 0.364)
Pr (0.229, 0.499, 0.864)
Pr (0.771, 0.501, 0.136)
Pr (0.771, 0.999, 0.636)
Pr (0.812, 0.716, 0.408)
Pr (0.812, 0.784, 0.908)
Mo (0.319, 0.005, 0.880)
Mo (0.319, 0.495, 0.380)
Mo (0.323, 0.744, 0.157)
Mo (0.323, 0.756, 0.657)
Mo (0.677, 0.244, 0.343)
Mo (0.677, 0.256, 0.843)
Mo (0.681, 0.505, 0.620)
Mo (0.681, 0.995, 0.120)
C (0.004, 0.129, 0.860)
C (0.004, 0.371, 0.360)
C (0.445, 0.719, 0.510)
C (0.445, 0.781, 0.010)
C (0.469, 0.014, 0.748)
C (0.469, 0.486, 0.248)
C (0.531, 0.514, 0.752)
C (0.531, 0.986, 0.252)
C (0.555, 0.219, 0.990)
C (0.555, 0.281, 0.490)
C (0.996, 0.629, 0.640)
C (0.996, 0.871, 0.140)

***

Tb3TmC2Se2: simulated powder diffraction line list (Cu Kα X-rays), based on a crystal structure in OQMD, relaxed with PBE.
Peak positions follow from Bragg's law for the DFT cell and can differ from measured ones.

Main lines, most intense first (10 to 80 degrees two-theta):
| 2theta | I (rel.) |
| --- | --- |
| 34.17 | 1000 |
| 27.39 | 287 |
| 48.41 | 285 |
| 60.59 | 192 |
| 65.08 | 150 |
| 28.21 | 132 |
| 40.74 | 99 |
| 49.79 | 98 |
| 56.08 | 86 |
| 26.84 | 80 |

Cell and atoms:
a = 3.760 Å, b = 3.760 Å, c = 13.288 Å
α = 90.00°, β = 90.00°, γ = 120.00°
Positions (direct):
Tb (0.000, 0.000, 0.000)
Tb (0.000, 0.000, 0.301)
Tb (0.667, 0.333, 0.797)
Tm (0.667, 0.333, 0.499)
C (0.333, 0.667, 0.402)
C (0.333, 0.667, 0.898)
Se (0.000, 0.000, 0.645)
Se (0.667, 0.333, 0.150)

***

InFe4SiIr2: simulated powder diffraction line list (Cu Kα X-rays), based on a crystal structure in OQMD, relaxed with PBE.
Peak positions follow from Bragg's law for the DFT cell and can differ from measured ones.

Main lines, most intense first (10 to 80 degrees two-theta):
| 2theta | I (rel.) |
| --- | --- |
| 42.07 | 1000 |
| 44.08 | 469 |
| 25.79 | 437 |
| 79.69 | 295 |
| 64.11 | 149 |
| 51.78 | 142 |
| 75.45 | 135 |
| 30.78 | 116 |
| 33.90 | 98 |
| 57.80 | 76 |

Cell and atoms:
a = 4.109 Å, b = 4.109 Å, c = 6.381 Å
α = 90.00°, β = 90.00°, γ = 90.00°
Positions (direct):
In (0.000, 0.000, 0.000)
Fe (0.000, 0.000, 0.500)
Fe (0.000, 0.500, 0.730)
Fe (0.500, 0.000, 0.270)
Fe (0.500, 0.500, 0.000)
Si (0.500, 0.500, 0.500)
Ir (0.000, 0.500, 0.278)
Ir (0.500, 0.000, 0.722)